1.
Cs2Tl16Bi: calculated PXRD pattern (a wavelength of 1.5418 Å), based on the GGA-PBE geometry in Alexandria.
No peak broadening, texture or thermal motion is included.

The 10 most intense peaks (2θ = 15–90°), sorted by position:
two_theta	Rel. int.
26.56	241
27.41	262
30.76	609
30.94	885
31.48	445
31.69	257
34.66	1000
35.15	308
54.71	317
55.73	295

Structure:
a b c (Å): 8.7957 8.7957 8.7957
angles (deg): 82.73 82.73 82.73
Sites, in units of the cell vectors:
Cs1 0.0000 0.0000 0.0000
Cs2 0.3207 0.3207 0.3207
Tl1 0.0098 0.0098 0.5045
Tl2 0.0098 0.5045 0.0098
Tl3 0.1599 0.6602 0.6602
Tl4 0.3123 0.3123 0.8075
Tl5 0.3123 0.8075 0.3123
Tl6 0.3677 0.6579 0.9504
Tl7 0.3677 0.9504 0.6579
Tl8 0.5045 0.0098 0.0098
Tl9 0.6579 0.3677 0.9504
Tl10 0.6579 0.9504 0.3677
Tl11 0.6602 0.1599 0.6602
Tl12 0.6602 0.6602 0.1599
Tl13 0.7595 0.7595 0.7595
Tl14 0.8075 0.3123 0.3123
Tl15 0.9504 0.3677 0.6579
Tl16 0.9504 0.6579 0.3677
Bi1 0.5638 0.5638 0.5638

2.
Ce2Si3Rh: calculated PXRD pattern (a wavelength of 1.5418 Å), based on the GGA-PBE geometry in Alexandria.
No peak broadening, texture or thermal motion is included.

The 10 most intense peaks (2θ = 15–90°), sorted by position:
two_theta	Rel. int.
21.64	84
25.03	261
33.33	1000
44.10	491
51.40	111
56.38	224
64.16	241
69.98	58
74.24	288
81.10	62

Structure:
a b c (Å): 8.2162 8.2162 4.1029
angles (deg): 90.00 90.00 120.00
Sites, in units of the cell vectors:
Ce1 0.0000 0.0000 0.0000
Ce2 0.0000 0.5000 0.0000
Ce3 0.5000 0.0000 0.0000
Ce4 0.5000 0.5000 0.0000
Si1 0.1653 0.3306 0.5000
Si2 0.1653 0.8347 0.5000
Si3 0.3306 0.1653 0.5000
Si4 0.6694 0.8347 0.5000
Si5 0.8347 0.1653 0.5000
Si6 0.8347 0.6694 0.5000
Rh1 0.3333 0.6667 0.5000
Rh2 0.6667 0.3333 0.5000

3.
Cd2TeIr2: calculated PXRD pattern (a wavelength of 1.5418 Å), based on the GGA-PBE geometry in Alexandria.
No peak broadening, texture or thermal motion is included.

The 10 most intense peaks (2θ = 15–90°), sorted by position:
two_theta	Rel. int.
32.53	168
36.48	537
38.35	1000
46.66	158
56.70	159
58.07	108
70.55	173
71.70	169
77.54	137
79.84	106

Structure:
a b c (Å): 7.7883 7.7883 3.1766
angles (deg): 90.00 90.00 90.00
Sites, in units of the cell vectors:
Cd1 0.1316 0.3684 0.0000
Cd2 0.3684 0.8684 0.0000
Cd3 0.6316 0.1316 0.0000
Cd4 0.8684 0.6316 0.0000
Te1 0.0000 0.0000 0.5000
Te2 0.5000 0.5000 0.5000
Ir1 0.1676 0.6676 0.5000
Ir2 0.3324 0.1676 0.5000
Ir3 0.6676 0.8324 0.5000
Ir4 0.8324 0.3324 0.5000

4.
AcH6RuRh: calculated PXRD pattern (a wavelength of 1.5418 Å), based on the GGA-PBE geometry in Alexandria.
No peak broadening, texture or thermal motion is included.

The 10 most intense peaks (2θ = 15–90°), sorted by position:
two_theta	Rel. int.
21.36	118
29.05	1000
37.45	440
39.50	124
48.08	253
55.56	288
62.49	232
65.32	102
81.19	96
87.16	96

Structure:
a b c (Å): 4.8023 4.8023 4.5633
angles (deg): 90.00 90.00 120.00
Sites, in units of the cell vectors:
Ac1 0.0000 0.0000 0.0000
H1 0.0102 0.5051 0.2504
H2 0.0102 0.5051 0.7496
H3 0.4949 0.5051 0.2504
H4 0.4949 0.5051 0.7496
H5 0.4949 0.9898 0.2504
H6 0.4949 0.9898 0.7496
Ru1 0.3333 0.6667 0.5000
Rh1 0.6667 0.3333 0.5000

5.
LiCdTeI: calculated PXRD pattern (a wavelength of 1.5418 Å), based on the GGA-PBE geometry in Alexandria.
No peak broadening, texture or thermal motion is included.

The 10 most intense peaks (2θ = 15–90°), sorted by position:
two_theta	Rel. int.
22.42	180
23.44	1000
23.58	403
27.17	163
38.72	502
38.90	482
45.81	565
56.05	163
61.45	139
70.20	163

Structure:
a b c (Å): 4.6513 4.6513 22.6343
angles (deg): 90.00 90.00 120.00
Sites, in units of the cell vectors:
Li1 0.0000 0.0000 0.0000
Li2 0.3333 0.6667 0.6667
Li3 0.6667 0.3333 0.3333
Cd1 0.0000 0.0000 0.5056
Cd2 0.3333 0.6667 0.1722
Cd3 0.6667 0.3333 0.8389
Te1 0.0000 0.0000 0.8770
Te2 0.3333 0.6667 0.5436
Te3 0.6667 0.3333 0.2103
I1 0.0000 0.0000 0.3724
I2 0.3333 0.6667 0.0391
I3 0.6667 0.3333 0.7057

6.
UH6Br2O5: calculated PXRD pattern (a wavelength of 1.5418 Å), based on the GGA-PBE geometry in Alexandria.
No peak broadening, texture or thermal motion is included.

The 10 most intense peaks (2θ = 15–90°), sorted by position:
two_theta	Rel. int.
15.25	290
15.44	408
17.09	1000
17.55	393
23.42	796
24.80	306
28.26	555
35.34	326
37.67	380
40.25	427

Structure:
a b c (Å): 10.5069 6.8858 12.7779
angles (deg): 90.00 99.03 90.00
Sites, in units of the cell vectors:
U1 0.2432 0.0715 0.4536
U2 0.2432 0.4285 0.9536
U3 0.7568 0.5715 0.0464
U4 0.7568 0.9285 0.5464
H1 0.0474 0.1985 0.5910
H2 0.0474 0.3015 0.0910
H3 0.1748 0.1719 0.1333
H4 0.1748 0.3281 0.6333
H5 0.2266 0.5307 0.1924
H6 0.2266 0.9693 0.6924
H7 0.2876 0.7202 0.1500
H8 0.2876 0.7798 0.6500
H9 0.3049 0.6435 0.4257
H10 0.3049 0.8565 0.9257
H11 0.4427 0.7496 0.4679
H12 0.4427 0.7504 0.9679
H13 0.5573 0.2496 0.0321
H14 0.5573 0.2504 0.5321
H15 0.6951 0.1435 0.0743
H16 0.6951 0.3565 0.5743
H17 0.7124 0.2202 0.3500
H18 0.7124 0.2798 0.8500
H19 0.7734 0.0307 0.3076
H20 0.7734 0.4693 0.8076
H21 0.8252 0.6719 0.3667
H22 0.8252 0.8281 0.8667
H23 0.9526 0.6985 0.9090
H24 0.9526 0.8015 0.4090
Br1 0.1553 0.0716 0.8447
Br2 0.1553 0.4284 0.3447
Br3 0.3268 0.0179 0.2500
Br4 0.3268 0.4821 0.7500
Br5 0.6732 0.5179 0.2500
Br6 0.6732 0.9821 0.7500
Br7 0.8447 0.5716 0.6553
Br8 0.8447 0.9284 0.1553
O1 0.0933 0.5541 0.9078
O2 0.0933 0.9459 0.4078
O3 0.1308 0.2467 0.5742
O4 0.1308 0.2533 0.0742
O5 0.2560 0.5889 0.1296
O6 0.2560 0.9111 0.6296
O7 0.3478 0.7435 0.9647
O8 0.3478 0.7565 0.4647
O9 0.3933 0.1940 0.5039
O10 0.3933 0.3060 0.0039
O11 0.6067 0.6940 0.9961
O12 0.6067 0.8060 0.4961
O13 0.6522 0.2435 0.5353
O14 0.6522 0.2565 0.0353
O15 0.7440 0.0889 0.3704
O16 0.7440 0.4111 0.8704
O17 0.8692 0.7467 0.9258
O18 0.8692 0.7533 0.4258
O19 0.9067 0.0541 0.5922
O20 0.9067 0.4459 0.0922

7.
Sr8Al7: calculated PXRD pattern (a wavelength of 1.5418 Å), based on the GGA-PBE geometry in Alexandria.
No peak broadening, texture or thermal motion is included.

The 10 most intense peaks (2θ = 15–90°), sorted by position:
two_theta	Rel. int.
24.18	463
25.18	262
26.15	693
28.87	1000
29.73	661
31.38	243
32.17	245
35.91	324
45.55	345
47.86	343

Structure:
a b c (Å): 12.7506 12.7506 12.7506
angles (deg): 90.00 90.00 90.00
Sites, in units of the cell vectors:
Sr1 0.0059 0.1965 0.9403
Sr2 0.0227 0.2050 0.4360
Sr3 0.0597 0.5059 0.3035
Sr4 0.0640 0.9773 0.7050
Sr5 0.1846 0.8154 0.3154
Sr6 0.1868 0.6868 0.8132
Sr7 0.1965 0.9403 0.0059
Sr8 0.2050 0.4360 0.0227
Sr9 0.2950 0.5640 0.5227
Sr10 0.3035 0.0597 0.5059
Sr11 0.3132 0.3132 0.3132
Sr12 0.3154 0.1846 0.8154
Sr13 0.4360 0.0227 0.2050
Sr14 0.4403 0.4941 0.8035
Sr15 0.4773 0.7950 0.9360
Sr16 0.4941 0.8035 0.4403
Sr17 0.5059 0.3035 0.0597
Sr18 0.5227 0.2950 0.5640
Sr19 0.5597 0.9941 0.6965
Sr20 0.5640 0.5227 0.2950
Sr21 0.6846 0.6846 0.6846
Sr22 0.6868 0.8132 0.1868
Sr23 0.6965 0.5597 0.9941
Sr24 0.7050 0.0640 0.9773
Sr25 0.7950 0.9360 0.4773
Sr26 0.8035 0.4403 0.4941
Sr27 0.8132 0.1868 0.6868
Sr28 0.8154 0.3154 0.1846
Sr29 0.9360 0.4773 0.7950
Sr30 0.9403 0.0059 0.1965
Sr31 0.9773 0.7050 0.0640
Sr32 0.9941 0.6965 0.5597
Al1 0.0691 0.4309 0.5691
Al2 0.0764 0.2530 0.6905
Al3 0.0806 0.2524 0.1849
Al4 0.1849 0.0806 0.2524
Al5 0.1905 0.4236 0.7470
Al6 0.2470 0.3095 0.5764
Al7 0.2476 0.8151 0.5806
Al8 0.2524 0.1849 0.0806
Al9 0.2530 0.6905 0.0764
Al10 0.3095 0.5764 0.2470
Al11 0.3151 0.9194 0.7524
Al12 0.4194 0.7476 0.6849
Al13 0.4236 0.7470 0.1905
Al14 0.4309 0.5691 0.0691
Al15 0.5691 0.0691 0.4309
Al16 0.5764 0.2470 0.3095
Al17 0.5806 0.2476 0.8151
Al18 0.6849 0.4194 0.7476
Al19 0.6905 0.0764 0.2530
Al20 0.7470 0.1905 0.4236
Al21 0.7476 0.6849 0.4194
Al22 0.7524 0.3151 0.9194
Al23 0.7530 0.8095 0.9236
Al24 0.8095 0.9236 0.7530
Al25 0.8151 0.5806 0.2476
Al26 0.9194 0.7524 0.3151
Al27 0.9236 0.7530 0.8095
Al28 0.9309 0.9309 0.9309

8.
TbHf2V: calculated PXRD pattern (a wavelength of 1.5418 Å), based on the GGA-PBE geometry in Alexandria.
No peak broadening, texture or thermal motion is included.

The 10 most intense peaks (2θ = 15–90°), sorted by position:
two_theta	Rel. int.
26.42	92
28.84	366
34.58	189
35.21	1000
37.71	562
44.03	86
52.08	242
54.40	217
66.09	268
66.46	313

Structure:
a b c (Å): 3.3737 3.3737 7.7822
angles (deg): 90.00 90.00 90.00
Sites, in units of the cell vectors:
Tb1 0.0000 0.0000 0.0000
Hf1 0.5000 0.5000 0.3044
Hf2 0.5000 0.5000 0.6956
V1 0.0000 0.0000 0.5000

9.
LiZn3Pd3: calculated PXRD pattern (a wavelength of 1.5418 Å), based on the GGA-PBE geometry in Alexandria.
No peak broadening, texture or thermal motion is included.

The 10 most intense peaks (2θ = 15–90°), sorted by position:
two_theta	Rel. int.
20.42	179
33.85	100
37.19	80
41.52	269
42.67	249
42.80	1000
61.05	161
63.19	80
76.63	158
78.21	151

Structure:
a b c (Å): 6.0731 6.0731 5.8860
angles (deg): 90.00 90.00 91.49
Sites, in units of the cell vectors:
Li1 0.2231 0.2231 0.0000
Li2 0.7769 0.7769 0.0000
Zn1 0.2309 0.7691 0.5000
Zn2 0.2328 0.2328 0.5000
Zn3 0.2549 0.7451 0.0000
Zn4 0.7451 0.2549 0.0000
Zn5 0.7672 0.7672 0.5000
Zn6 0.7691 0.2309 0.5000
Pd1 0.0000 0.5000 0.2502
Pd2 0.0000 0.5000 0.7498
Pd3 0.5000 0.0000 0.2502
Pd4 0.5000 0.0000 0.7498
Pd5 0.5000 0.5000 0.2561
Pd6 0.5000 0.5000 0.7439

10.
Y2Ga8Ni: calculated PXRD pattern (a wavelength of 1.5418 Å), based on the GGA-PBE geometry in Alexandria.
No peak broadening, texture or thermal motion is included.

The 10 most intense peaks (2θ = 15–90°), sorted by position:
two_theta	Rel. int.
33.84	400
38.54	1000
40.73	197
42.38	578
44.41	104
60.23	241
61.48	184
74.95	264
75.56	127
76.39	117

Structure:
a b c (Å): 4.2660 4.2660 11.0773
angles (deg): 90.00 90.00 90.00
Sites, in units of the cell vectors:
Y1 0.0000 0.0000 0.1935
Y2 0.0000 0.0000 0.8065
Ga1 0.0000 0.5000 0.0000
Ga2 0.0000 0.5000 0.3814
Ga3 0.0000 0.5000 0.6186
Ga4 0.5000 0.0000 0.0000
Ga5 0.5000 0.0000 0.3814
Ga6 0.5000 0.0000 0.6186
Ga7 0.5000 0.5000 0.1964
Ga8 0.5000 0.5000 0.8036
Ni1 0.0000 0.0000 0.5000

11.
Sc3C5: calculated PXRD pattern (a wavelength of 1.5418 Å), based on the GGA-PBE geometry in Alexandria.
No peak broadening, texture or thermal motion is included.

The 10 most intense peaks (2θ = 15–90°), sorted by position:
two_theta	Rel. int.
28.47	1000
29.69	493
34.75	821
37.75	787
41.26	379
41.92	363
43.17	220
43.49	254
47.80	254
62.94	260

Structure:
a b c (Å): 7.5313 7.5313 5.7979
angles (deg): 95.39 95.39 143.35
Sites, in units of the cell vectors:
Sc1 0.1566 0.8434 0.0000
Sc2 0.3268 0.6732 0.5000
Sc3 0.3364 0.3364 0.7298
Sc4 0.6636 0.6636 0.2702
Sc5 0.6732 0.3268 0.5000
Sc6 0.8434 0.1566 0.0000
C1 0.1426 0.2459 0.3260
C2 0.1586 0.1586 0.0810
C3 0.2459 0.1426 0.3260
C4 0.2843 0.6384 0.8781
C5 0.3616 0.7157 0.1219
C6 0.6384 0.2843 0.8781
C7 0.7157 0.3616 0.1219
C8 0.7541 0.8574 0.6740
C9 0.8414 0.8414 0.9190
C10 0.8574 0.7541 0.6740